No. 1
Diffraction record for V3O5. The X-ray powder pattern is calculated, not measured: it uses a crystal structure in Alexandria, relaxed with GGA+U and Cu Kα (λ = 1.5418 Å).
Lines closer than 0.1° are merged.

Principal peaks in the range 5 to 70 degrees two-theta, sorted by position:
| hkl | 2theta | d_spacing | I (rel.) |
| --- | --- | --- | --- |
| 2 0 0 | 26.6 | 3.353 | 71.7 |
| 2 1 -1 | 30.5 | 2.929 | 79.1 |
| 0 1 3 | 33.2 | 2.695 | 100.0 |
| 2 1 -3 | 36.5 | 2.460 | 54.1 |
| 2 2 2 | 51.9 | 1.762 | 55.0 |
| 4 1 -1 | 55.3 | 1.660 | 53.8 |

Structural model:
```
data_V3O5
_chemical_formula_sum 'V12 O20'
_space_group_name_H-M_alt 'P 1'
_space_group_IT_number 1
_cell_length_a 7.089
_cell_length_b 5.209
_cell_length_c 9.986
_cell_angle_alpha 90.00
_cell_angle_beta 108.92
_cell_angle_gamma 90.00
loop_
_space_group_symop_operation_xyz
'x,y,z'
loop_
_atom_site_label
_atom_site_fract_x
_atom_site_fract_y
_atom_site_fract_z
V1 0.157 0.249 0.380
V2 0.157 0.751 0.880
V3 0.249 0.247 0.748
V4 0.249 0.753 0.248
V5 0.342 0.250 0.119
V6 0.342 0.750 0.619
V7 0.658 0.250 0.381
V8 0.658 0.750 0.881
V9 0.751 0.247 0.752
V10 0.751 0.753 0.252
V11 0.843 0.249 0.120
V12 0.843 0.751 0.620
O1 0.000 0.058 0.750
O2 0.000 0.942 0.250
O3 0.118 0.403 0.171
O4 0.118 0.597 0.671
O5 0.228 0.090 0.564
O6 0.228 0.910 0.064
O7 0.283 0.394 0.948
O8 0.283 0.606 0.448
O9 0.389 0.098 0.329
O10 0.389 0.902 0.829
O11 0.500 0.455 0.750
O12 0.500 0.545 0.250
O13 0.611 0.098 0.171
O14 0.611 0.902 0.671
O15 0.717 0.394 0.552
O16 0.717 0.606 0.052
O17 0.772 0.090 0.936
O18 0.772 0.910 0.436
O19 0.882 0.403 0.329
O20 0.882 0.597 0.829
```

No. 2
Diffraction record for LiNdFe4O12. The X-ray powder pattern is calculated, not measured: it uses a crystal structure in Alexandria, relaxed with GGA+U and Cu Kα (λ = 1.5418 Å).
Lines closer than 0.1° are merged.

Principal peaks in the range 5 to 70 degrees two-theta, sorted by position:
| hkl | 2theta | d_spacing | I (rel.) |
| --- | --- | --- | --- |
| 0 0 1 | 11.6 | 7.650 | 57.5 |
| 1 0 0 | 16.5 | 5.357 | 57.5 |
| 1 0 1 | 20.2 | 4.388 | 77.6 |
| 1 1 2 | 33.3 | 2.692 | 100.0 |
| 2 0 0 | 33.5 | 2.679 | 49.8 |
| 2 2 0 | 48.0 | 1.894 | 54.5 |

Structural model:
```
data_LiNdFe4O12
_chemical_formula_sum 'Li1 Nd1 Fe4 O12'
_space_group_name_H-M_alt 'P 1'
_space_group_IT_number 1
_cell_length_a 5.357
_cell_length_b 5.357
_cell_length_c 7.650
_cell_angle_alpha 90.00
_cell_angle_beta 90.00
_cell_angle_gamma 90.00
loop_
_space_group_symop_operation_xyz
'x,y,z'
loop_
_atom_site_label
_atom_site_fract_x
_atom_site_fract_y
_atom_site_fract_z
Li1 0.000 0.000 0.000
Nd1 0.500 0.500 0.500
Fe1 0.000 0.500 0.244
Fe2 0.000 0.500 0.756
Fe3 0.500 0.000 0.244
Fe4 0.500 0.000 0.756
O1 0.000 0.500 0.000
O2 0.000 0.500 0.500
O3 0.257 0.257 0.260
O4 0.257 0.257 0.740
O5 0.257 0.743 0.260
O6 0.257 0.743 0.740
O7 0.500 0.000 0.000
O8 0.500 0.000 0.500
O9 0.743 0.257 0.260
O10 0.743 0.257 0.740
O11 0.743 0.743 0.260
O12 0.743 0.743 0.740
```